(1)
Starting from a PBE-relaxed structure, the X-ray powder pattern of SrCaPN3 was calculated for copper Kα.

Atomic structure:
Lattice parameters (Å, degrees): 6.5070 6.5070 7.4747 106.88 106.88 33.72
Element x y z (fractional)
Sr 0.1489 0.1489 0.0777
Sr 0.8511 0.8511 0.9223
Ca 0.1459 0.1459 0.5684
Ca 0.8541 0.8541 0.4316
P 0.4987 0.4987 0.7736
P 0.5013 0.5013 0.2264
N 0.9998 0.9998 0.2541
N 0.0002 0.0002 0.7459
N 0.3600 0.3600 0.6590
N 0.3635 0.3635 0.2058
N 0.6365 0.6365 0.7942
N 0.6400 0.6400 0.3410

Most intense lines, 2θ from 10° to 80°, in order of rising 2θ:
Position (°2θ)  intensity
12.43  26
30.12  19
32.79  49
32.91  36
33.03  37
33.75  100
45.84  35
48.21  23
48.73  20
59.65  26

=====

(2)
Starting from a PBE-relaxed structure, the X-ray powder pattern of Ca2ZnPN4 was calculated for copper Kα.

Atomic structure:
Lattice parameters (Å, degrees): 6.5540 5.6999 5.6140 90.00 90.00 90.00
Element x y z (fractional)
Ca 0.2483 0.2275 0.0000
Ca 0.2517 0.7725 0.5000
Ca 0.7483 0.7725 0.5000
Ca 0.7517 0.2275 0.0000
Zn 0.0000 0.7781 0.9994
Zn 0.5000 0.2219 0.4994
P 0.0000 0.2003 0.4992
P 0.5000 0.7997 0.9992
N 0.0000 0.0309 0.2633
N 0.0000 0.0325 0.7363
N 0.2106 0.3635 0.4985
N 0.2894 0.6365 0.9985
N 0.5000 0.9675 0.2363
N 0.5000 0.9691 0.7633
N 0.7106 0.6365 0.9985
N 0.7894 0.3635 0.4985

Most intense lines, 2θ from 10° to 80°, in order of rising 2θ:
Position (°2θ)  intensity
15.55  15
31.39  29
31.88  43
35.41  100
45.15  14
45.35  34
56.13  11
58.51  21
59.12  21
74.93  13

=====

(3)
Starting from a PBE-relaxed structure, the X-ray powder pattern of CaPa3N6 was calculated for copper Kα.

Atomic structure:
Lattice parameters (Å, degrees): 9.1972 3.5802 9.3909 90.00 104.35 90.00
Element x y z (fractional)
Ca 0.0750 0.2500 0.1808
Ca 0.9250 0.7500 0.8192
Pa 0.1685 0.2500 0.5875
Pa 0.3099 0.7500 0.9719
Pa 0.4657 0.2500 0.3221
Pa 0.5343 0.7500 0.6779
Pa 0.6901 0.2500 0.0281
Pa 0.8315 0.7500 0.4125
N 0.0774 0.7500 0.4274
N 0.1392 0.2500 0.9230
N 0.2797 0.7500 0.7186
N 0.3052 0.7500 0.2207
N 0.4058 0.2500 0.5499
N 0.4512 0.2500 0.0789
N 0.5488 0.7500 0.9211
N 0.5942 0.7500 0.4501
N 0.6948 0.2500 0.7793
N 0.7203 0.2500 0.2814
N 0.8608 0.7500 0.0770
N 0.9226 0.2500 0.5726

Most intense lines, 2θ from 10° to 80°, in order of rising 2θ:
Position (°2θ)  intensity
19.90  22
28.65  47
29.23  46
29.46  100
31.39  34
31.85  29
32.07  19
35.03  51
48.11  22
51.01  19

=====

(4)
Starting from a PBE-relaxed structure, the X-ray powder pattern of CaPa2N4 was calculated for copper Kα.

Atomic structure:
Lattice parameters (Å, degrees): 6.3332 6.3332 6.3332 108.35 108.35 111.74
Element x y z (fractional)
Ca 0.0000 0.0000 0.0000
Ca 0.7500 0.2500 0.5000
Pa 0.2270 0.6250 0.1020
Pa 0.3750 0.4770 0.6020
Pa 0.5230 0.1250 0.8980
Pa 0.8750 0.7730 0.3980
N 0.0196 0.3946 0.2481
N 0.1446 0.2696 0.7481
N 0.1465 0.7715 0.7519
N 0.2285 0.9804 0.3750
N 0.5215 0.3965 0.2519
N 0.6035 0.8554 0.1250
N 0.6054 0.8535 0.6250
N 0.7304 0.4785 0.8750

Most intense lines, 2θ from 10° to 80°, in order of rising 2θ:
Position (°2θ)  intensity
17.28  32
24.01  40
29.73  100
30.39  87
38.40  32
38.57  28
45.95  39
47.15  28
55.95  23
59.53  24

=====

(5)
Starting from a PBE-relaxed structure, the X-ray powder pattern of Ca4Pa3PdN8 was calculated for copper Kα.

Atomic structure:
Lattice parameters (Å, degrees): 7.0429 7.0429 6.9159 118.74 118.74 58.74
Element x y z (fractional)
Ca 0.0000 0.0000 0.0000
Ca 0.0000 0.5000 0.5000
Ca 0.5000 0.0000 0.5000
Ca 0.5000 0.5000 0.0000
Pa 0.0000 0.0000 0.5000
Pa 0.0000 0.5000 0.0000
Pa 0.5000 0.0000 0.0000
Pd 0.5000 0.5000 0.5000
N 0.2130 0.7471 0.2464
N 0.2302 0.2302 0.1907
N 0.2384 0.2384 0.7540
N 0.2529 0.7870 0.7536
N 0.7471 0.2130 0.2464
N 0.7616 0.7616 0.2460
N 0.7698 0.7698 0.8093
N 0.7870 0.2529 0.7536

Most intense lines, 2θ from 10° to 80°, in order of rising 2θ:
Position (°2θ)  intensity
15.56  100
30.16  37
31.01  33
31.24  64
31.42  32
35.06  37
36.78  65
51.45  24
51.99  23
53.00  22

=====

(6)
Starting from a PBE-relaxed structure, the X-ray powder pattern of Ca3Pa3PtN8 was calculated for copper Kα.

Atomic structure:
Lattice parameters (Å, degrees): 6.9485 6.9485 6.8893 119.64 119.64 59.27
Element x y z (fractional)
Ca 0.0000 0.0000 0.0000
Ca 0.0000 0.5000 0.5000
Ca 0.5000 0.0000 0.5000
Pa 0.0000 0.5000 0.0000
Pa 0.5000 0.0000 0.0000
Pa 0.5000 0.5000 0.5000
Pt 0.0000 0.0000 0.5000
N 0.2281 0.7400 0.2707
N 0.2600 0.2600 0.2458
N 0.2600 0.2600 0.7996
N 0.2600 0.7719 0.7293
N 0.7400 0.2281 0.2707
N 0.7400 0.7400 0.2004
N 0.7400 0.7400 0.7542
N 0.7719 0.2600 0.7293

Most intense lines, 2θ from 10° to 80°, in order of rising 2θ:
Position (°2θ)  intensity
15.67  98
29.92  20
30.43  36
31.64  100
36.17  27
36.95  50
40.03  17
52.67  35
62.23  16
63.23  16